The following is a theoretical XRD peak list of Y7Cu2Hg2. It was derived from a structure optimized by DFT (GGA-PBE), using copper Kα.

The 8 most intense peaks (10° ≤ 2θ ≤ 90°), by intensity:
2theta  d (Å)  I (rel.)
37.8  2.383  100
31.9  2.805  68
20.2  4.400  56
25.9  3.435  52
28.7  3.107  49
36.7  2.446  48
29.8  2.998  43
44.1  2.053  33

Cell: 6.8468 6.8468 7.0954 Å, 90.00 90.00 110.02°
Element x y z (fractional)
1 Y 0.0000 0.0000 0.0000
2 Y 0.0000 0.5000 0.2574
3 Y 0.0000 0.5000 0.7426
4 Y 0.5000 0.0000 0.2574
5 Y 0.5000 0.0000 0.7426
6 Y 0.5000 0.5000 0.2450
7 Y 0.5000 0.5000 0.7550
8 Cu 0.2997 0.7003 0.0000
9 Cu 0.7003 0.2997 0.0000
10 Hg 0.1809 0.1809 0.5000
11 Hg 0.8191 0.8191 0.5000